Starting from a structure optimized by DFT (PBE+U), the powder X-ray diffraction pattern of LiNiPO4 was computed for Cu Kα (λ = 1.5418 Å).
No peak broadening, texture or thermal motion is included.

```
data_LiNiPO4
_chemical_formula_sum 'Li4 Ni4 P4 O16'
_space_group_name_H-M_alt 'P n a 21'
_space_group_IT_number 33
_cell_length_a 7.9877
_cell_length_b 8.9357
_cell_length_c 4.9072
_cell_angle_alpha 90.00
_cell_angle_beta 90.00
_cell_angle_gamma 90.00
loop_
_space_group_symop_operation_xyz
'x,y,z'
'-x,-y,z+1/2'
'-x+1/2,y+1/2,z+1/2'
'x+1/2,-y+1/2,z'
loop_
_atom_site_label
_atom_site_type_symbol
_atom_site_fract_x
_atom_site_fract_y
_atom_site_fract_z
Li1 Li 0.0526 0.1100 0.0000
Ni1 Ni 0.1653 0.5252 0.0692
P1 P 0.2213 0.3563 0.6336
O1 O 0.0555 0.4301 0.7416
O2 O 0.1409 0.9552 0.2757
O3 O 0.2193 0.1939 0.7425
O4 O 0.2389 0.3599 0.3224
```

Largest 10 diffraction maxima, in order of rising 2θ, 10° ≤ 2θ ≤ 90°:
14.9°, intensity 89, (1 1 0)
19.9°, intensity 73, (0 2 0)
20.6°, intensity 79, (0 1 1)
22.3°, intensity 88, (2 0 0)
23.5°, intensity 52, (1 1 1)
28.8°, intensity 29, (2 0 1)
30.5°, intensity 26, (2 1 1)
35.2°, intensity 100, (2 2 1)
37.1°, intensity 70, (1 3 1)
51.7°, intensity 38, (3 1 2)


Starting from a structure optimized by DFT (PBE+U), the powder X-ray diffraction pattern of LiNiP2O7 was computed for Cu Kα (λ = 1.5418 Å).
No peak broadening, texture or thermal motion is included.

```
data_LiNiP2O7
_chemical_formula_sum 'Li4 Ni4 P8 O28'
_space_group_name_H-M_alt 'P 1 c 1'
_space_group_IT_number 7
_cell_length_a 8.3076
_cell_length_b 5.1082
_cell_length_c 13.6830
_cell_angle_alpha 90.00
_cell_angle_beta 110.87
_cell_angle_gamma 90.00
loop_
_space_group_symop_operation_xyz
'x,y,z'
'x,-y,z+1/2'
loop_
_atom_site_label
_atom_site_type_symbol
_atom_site_fract_x
_atom_site_fract_y
_atom_site_fract_z
Li1 Li 0.0000 0.0254 0.0000
Li2 Li 0.4375 0.4157 0.3236
Ni1 Ni 0.1609 0.0181 0.3067
Ni2 Ni 0.7112 0.4721 0.5212
P1 P 0.1244 0.4681 0.6438
P2 P 0.2568 0.4806 0.4761
P3 P 0.6064 0.0494 0.8672
P4 P 0.7283 0.0076 0.1900
O1 O 0.1144 0.1736 0.6615
O2 O 0.1535 0.2271 0.4383
O3 O 0.1599 0.2792 0.9172
O4 O 0.1924 0.3782 0.2458
O5 O 0.2806 0.4869 0.0970
O6 O 0.4251 0.0207 0.3624
O7 O 0.4356 0.4542 0.4696
O8 O 0.5938 0.0376 0.2495
O9 O 0.6435 0.3441 0.8775
O10 O 0.6782 0.2129 0.1057
O11 O 0.7089 0.2702 0.6457
O12 O 0.7454 0.1183 0.4459
O13 O 0.9074 0.0321 0.2732
O14 O 0.9634 0.4167 0.0609
```

Largest 10 diffraction maxima, in order of rising 2θ, 10° ≤ 2θ ≤ 90°:
14.5°, intensity 41, (1 0 -2)
22.3°, intensity 100, (0 1 2)
22.9°, intensity 65, (2 0 0)
31.5°, intensity 34, (1 1 -4)
32.4°, intensity 13, (3 0 -2)
35.1°, intensity 18, (0 2 0)
35.7°, intensity 12, (2 1 2)
43.6°, intensity 13, (4 0 -2)
48.8°, intensity 9, (4 1 -4)
55.9°, intensity 8, (0 3 2)


Starting from a structure optimized by DFT (PBE+U), the powder X-ray diffraction pattern of Li2Ni5P4O16 was computed for Cu Kα (λ = 1.5418 Å).
No peak broadening, texture or thermal motion is included.

```
data_Li2Ni5P4O16
_chemical_formula_sum 'Li2 Ni5 P4 O16'
_space_group_name_H-M_alt 'P -1'
_space_group_IT_number 2
_cell_length_a 6.4745
_cell_length_b 6.5524
_cell_length_c 8.4964
_cell_angle_alpha 109.31
_cell_angle_beta 108.91
_cell_angle_gamma 98.36
loop_
_space_group_symop_operation_xyz
'x,y,z'
'-x,-y,-z'
loop_
_atom_site_label
_atom_site_type_symbol
_atom_site_fract_x
_atom_site_fract_y
_atom_site_fract_z
Li1 Li 0.1651 0.1654 0.3311
Ni1 Ni 0.0000 0.5000 0.0000
Ni2 Ni 0.3065 0.6427 0.7507
Ni3 Ni 0.4443 0.1076 0.7507
P1 P 0.1872 0.6873 0.3745
P2 P 0.2587 0.1244 0.0001
O1 O 0.0563 0.2137 0.0002
O2 O 0.0716 0.4139 0.7567
O3 O 0.1854 0.9149 0.8147
O4 O 0.2431 0.9435 0.4883
O5 O 0.2448 0.5446 0.4881
O6 O 0.3150 0.6574 0.2433
O7 O 0.3703 0.1003 0.1855
O8 O 0.4645 0.2862 0.0001
```

Largest 10 diffraction maxima, in order of rising 2θ, 10° ≤ 2θ ≤ 90°:
12.0°, intensity 44, (0 0 1)
18.0°, intensity 85, (1 -1 0)
27.9°, intensity 31, (2 0 -1)
29.7°, intensity 91, (1 -2 1)
32.2°, intensity 27, (1 1 1)
33.5°, intensity 100, (1 0 2)
34.6°, intensity 27, (2 -1 1)
37.6°, intensity 22, (1 2 0)
42.7°, intensity 35, (2 -1 2)
49.6°, intensity 24, (0 0 4)


Starting from a structure optimized by DFT (PBE+U), the powder X-ray diffraction pattern of LiNiP5O15 was computed for Cu Kα (λ = 1.5418 Å).
No peak broadening, texture or thermal motion is included.

```
data_LiNiP5O15
_chemical_formula_sum 'Li2 Ni2 P10 O30'
_space_group_name_H-M_alt 'P 1 c 1'
_space_group_IT_number 7
_cell_length_a 5.1316
_cell_length_b 9.3269
_cell_length_c 13.2836
_cell_angle_alpha 90.00
_cell_angle_beta 111.01
_cell_angle_gamma 90.00
loop_
_space_group_symop_operation_xyz
'x,y,z'
'x,-y,z+1/2'
loop_
_atom_site_label
_atom_site_type_symbol
_atom_site_fract_x
_atom_site_fract_y
_atom_site_fract_z
Li1 Li 0.0000 0.1959 0.0000
Ni1 Ni 0.0394 0.4928 0.5982
P1 P 0.0322 0.4960 0.8444
P2 P 0.4135 0.0114 0.4322
P3 P 0.4520 0.3187 0.5088
P4 P 0.5086 0.0382 0.2257
P5 P 0.6142 0.3289 0.1807
O1 O 0.0052 0.4120 0.9370
O2 O 0.0969 0.4235 0.7554
O3 O 0.1539 0.0798 0.9025
O4 O 0.2381 0.0348 0.1307
O5 O 0.2589 0.3762 0.3919
O6 O 0.3001 0.3330 0.1470
O7 O 0.3584 0.3748 0.5962
O8 O 0.3792 0.1503 0.4959
O9 O 0.4477 0.0900 0.3304
O10 O 0.6632 0.1027 0.7423
O11 O 0.6697 0.0739 0.9931
O12 O 0.7100 0.1657 0.2175
O13 O 0.7408 0.3711 0.0991
O14 O 0.7455 0.4128 0.2924
O15 O 0.7556 0.3374 0.5244
```

Largest 10 diffraction maxima, in order of rising 2θ, 10° ≤ 2θ ≤ 90°:
11.9°, intensity 48, (0 1 1)
17.2°, intensity 27, (0 1 2)
19.0°, intensity 53, (0 2 0)
20.8°, intensity 100, (1 1 0)
24.2°, intensity 28, (1 1 1)
26.7°, intensity 19, (1 2 0)
28.1°, intensity 43, (1 0 -4)
30.4°, intensity 32, (0 1 4)
34.2°, intensity 22, (1 2 -4)
34.4°, intensity 33, (1 3 0)


Q: Number 3 is which compound?
A: Li2Ni5P4O16